Starting from the PBE geometry in Alexandria, the powder diffractogram of Pr3Ho8 was simulated for Cu Ka.

Peak list (10 most intense, 5 to 70 degrees two-theta, by intensity)
two_theta  d (Å)  I (rel.)  hkl
30.57  2.924  1000  0 1 11
35.51  2.528  666  1 0 22
30.79  2.904  319  0 0 33
60.72  1.525  279  1 1 33
50.95  1.792  243  1 1 0
51.24  1.783  227  0 1 44
60.59  1.528  144  2 0 11
60.98  1.519  133  1 0 55
63.64  1.462  123  0 2 22
64.14  1.452  36  0 0 66

Crystal structure
abc: 3.5847 3.5847 95.8308
angles: 90.00 90.00 120.00
Space group R-3m (No. 166, hexagonal axes)
Unique sites:
Pr  0.0000  0.0000  0.0000 (multiplicity 3)
Pr  0.0000  0.0000  0.2720 (multiplicity 6)
Ho  0.0000  0.0000  0.0923 (multiplicity 6)
Ho  0.0000  0.0000  0.1815 (multiplicity 6)
Ho  0.0000  0.0000  0.3640 (multiplicity 6)
Ho  0.0000  0.0000  0.4554 (multiplicity 6)



Starting from the PBE geometry in Alexandria, the powder diffractogram of Pm5Dy4Y3 was simulated for Cu Ka.

Peak list (10 most intense, 5 to 70 degrees two-theta, by intensity)
two_theta  d (Å)  I (rel.)  hkl
30.46  2.934  1000  2 0 1
35.29  2.543  338  2 0 -2
60.36  1.533  284  4 0 -1
50.78  1.798  239  0 4 0
35.39  2.537  168  1 2 2
50.87  1.795  119  3 2 0
60.48  1.531  106  2 4 1
63.36  1.468  61  0 0 6
63.44  1.466  61  4 0 2
60.54  1.529  35  3 2 3

Crystal structure
abc: 6.2237 7.1879 8.8036
angles: 90.08 90.12 90.16
Space group P-1 (No. 2)
Unique sites:
Pm  0.0000  0.0000  0.0000 (multiplicity 1)
Pm  0.3330  0.4996  0.3343 (multiplicity 2)
Pm  0.4991  0.7514  0.9993 (multiplicity 2)
Dy  0.1671  0.7512  0.6650 (multiplicity 2)
Dy  0.3342  0.0003  0.3346 (multiplicity 2)
Y  0.0000  0.5000  0.0000 (multiplicity 1)
Y  0.1664  0.2485  0.6646 (multiplicity 2)



Starting from the PBE geometry in Alexandria, the powder diffractogram of Li2MnCdBr6 was simulated for Cu Ka.

Peak list (10 most intense, 5 to 70 degrees two-theta, by intensity)
two_theta  d (Å)  I (rel.)  hkl
29.62  3.016  1000  1 1 3
38.85  2.318  436  2 -1 6
45.70  1.985  342  3 0 0
17.62  5.034  323  0 1 2
51.09  1.788  206  2 -1 9
55.41  1.658  147  4 -2 3
28.43  3.139  122  0 0 6
61.49  1.508  103  2 2 6
24.09  3.694  101  1 0 4
54.71  1.678  97  0 3 6

Crystal structure
abc: 6.8770 6.8770 18.8345
angles: 90.00 90.00 120.00
Space group R3 (No. 146, hexagonal axes)
Unique sites:
Li  0.0000  0.0000  0.0000 (multiplicity 3)
Li  0.0000  0.0000  0.4961 (multiplicity 3)
Mn  0.0000  0.0000  0.6877 (multiplicity 3)
Cd  0.0000  0.0000  0.1909 (multiplicity 3)
Br  0.0077  0.6961  0.5942 (multiplicity 9)
Br  0.0163  0.3433  0.7578 (multiplicity 9)



Starting from the PBE geometry in Alexandria, the powder diffractogram of Fe3Cu2Ni8 was simulated for Cu Ka.

Peak list (10 most intense, 5 to 70 degrees two-theta, by intensity)
two_theta  d (Å)  I (rel.)  hkl
44.23  2.048  1000  0 1 11
46.31  1.960  796  2 0 2
50.65  1.802  483  1 0 13
39.36  2.289  432  1 1 0
44.66  2.029  314  1 1 6
47.93  1.898  311  0 2 4
49.11  1.855  298  2 0 5
40.74  2.215  240  1 1 3
52.17  1.753  232  0 2 7
30.59  2.922  169  0 0 9

Crystal structure
abc: 4.5784 4.5784 26.3016
angles: 90.00 90.00 120.00
Space group R-3m (No. 166, hexagonal axes)
Unique sites:
Fe  0.0000  0.0000  0.0000 (multiplicity 3)
Fe  0.0000  0.0000  0.1835 (multiplicity 6)
Cu  0.0000  0.0000  0.3604 (multiplicity 6)
Ni  0.0000  0.0000  0.2728 (multiplicity 6)
Ni  0.0006  0.5003  0.2282 (multiplicity 18)